1.
Computed X-ray powder pattern of Ce5Th3S8 for Cu Kα, from a crystal structure in Alexandria, relaxed with PBE.
Intensities are scaled so that the largest is 1000.

Crystal structure
a b c (Å): 8.068 8.068 8.068
angles (deg): 59.86 59.86 59.86
Atoms (fractional coordinates):
Ce (0.000, 0.000, 0.000)
Ce (0.000, 0.500, 0.500)
Ce (0.500, 0.000, 0.500)
Ce (0.500, 0.500, 0.000)
Ce (0.500, 0.500, 0.500)
Th (0.000, 0.000, 0.500)
Th (0.000, 0.500, 0.000)
Th (0.500, 0.000, 0.000)
S (0.250, 0.250, 0.748)
S (0.250, 0.748, 0.250)
S (0.251, 0.251, 0.251)
S (0.252, 0.750, 0.750)
S (0.748, 0.250, 0.250)
S (0.749, 0.749, 0.749)
S (0.750, 0.252, 0.750)
S (0.750, 0.750, 0.252)

The 6 most intense peaks (5 to 70 degrees two-theta), in order of falling intensity:
2θ 31.4, intensity 1000; 2θ 27.1, intensity 859; 2θ 45.0, intensity 732; 2θ 53.3, intensity 323; 2θ 55.9, intensity 192; 2θ 65.5, intensity 119

2.
Computed X-ray powder pattern of Ce5DyBi3 for Cu Kα, from a crystal structure in Alexandria, relaxed with PBE.
Intensities are scaled so that the largest is 1000.

Crystal structure
a b c (Å): 9.667 9.667 6.617
angles (deg): 90.00 90.00 120.00
Atoms (fractional coordinates):
Ce (0.000, 0.331, 0.250)
Ce (0.000, 0.669, 0.750)
Ce (0.331, 0.000, 0.250)
Ce (0.331, 0.331, 0.750)
Ce (0.333, 0.667, 0.000)
Ce (0.333, 0.667, 0.500)
Ce (0.667, 0.333, 0.000)
Ce (0.667, 0.333, 0.500)
Ce (0.669, 0.000, 0.750)
Ce (0.669, 0.669, 0.250)
Dy (0.000, 0.000, 0.000)
Dy (0.000, 0.000, 0.500)
Bi (0.000, 0.336, 0.750)
Bi (0.000, 0.664, 0.250)
Bi (0.336, 0.000, 0.750)
Bi (0.336, 0.336, 0.250)
Bi (0.664, 0.000, 0.250)
Bi (0.664, 0.664, 0.750)

The 6 most intense peaks (5 to 70 degrees two-theta), in order of falling intensity:
2θ 32.1, intensity 1000; 2θ 32.8, intensity 794; 2θ 57.6, intensity 321; 2θ 46.5, intensity 302; 2θ 65.6, intensity 260; 2θ 57.2, intensity 196

3.
Computed X-ray powder pattern of Tb5Pt3 for Cu Kα, from a crystal structure in Alexandria, relaxed with PBE.
Intensities are scaled so that the largest is 1000.

Crystal structure
a b c (Å): 11.076 11.076 6.505
angles (deg): 90.00 90.00 90.00
Atoms (fractional coordinates):
Tb (0.043, 0.160, 0.122)
Tb (0.043, 0.340, 0.622)
Tb (0.160, 0.043, 0.622)
Tb (0.160, 0.457, 0.122)
Tb (0.250, 0.750, 0.000)
Tb (0.250, 0.750, 0.500)
Tb (0.340, 0.043, 0.122)
Tb (0.340, 0.457, 0.622)
Tb (0.457, 0.160, 0.622)
Tb (0.457, 0.340, 0.122)
Tb (0.543, 0.660, 0.878)
Tb (0.543, 0.840, 0.378)
Tb (0.660, 0.543, 0.378)
Tb (0.660, 0.957, 0.878)
Tb (0.750, 0.250, 0.000)
Tb (0.750, 0.250, 0.500)
Tb (0.840, 0.543, 0.878)
Tb (0.840, 0.957, 0.378)
Tb (0.957, 0.660, 0.378)
Tb (0.957, 0.840, 0.878)
Pt (0.096, 0.596, 0.750)
Pt (0.096, 0.904, 0.250)
Pt (0.250, 0.250, 0.382)
Pt (0.250, 0.250, 0.882)
Pt (0.404, 0.596, 0.250)
Pt (0.404, 0.904, 0.750)
Pt (0.596, 0.096, 0.250)
Pt (0.596, 0.404, 0.750)
Pt (0.750, 0.750, 0.118)
Pt (0.750, 0.750, 0.618)
Pt (0.904, 0.096, 0.750)
Pt (0.904, 0.404, 0.250)

The 6 most intense peaks (5 to 70 degrees two-theta), in order of falling intensity:
2θ 36.2, intensity 1000; 2θ 32.9, intensity 411; 2θ 29.0, intensity 357; 2θ 32.2, intensity 331; 2θ 37.7, intensity 253; 2θ 36.8, intensity 219

4.
Computed X-ray powder pattern of Mg2GePPd6 for Cu Kα, from a crystal structure in Alexandria, relaxed with PBE.
Intensities are scaled so that the largest is 1000.

Crystal structure
a b c (Å): 4.567 4.567 9.123
angles (deg): 90.00 90.00 90.00
Atoms (fractional coordinates):
Mg (0.000, 0.000, 0.241)
Mg (0.000, 0.000, 0.759)
Ge (0.500, 0.500, 0.000)
P (0.500, 0.500, 0.500)
Pd (0.000, 0.500, 0.000)
Pd (0.000, 0.500, 0.500)
Pd (0.500, 0.000, 0.000)
Pd (0.500, 0.000, 0.500)
Pd (0.500, 0.500, 0.257)
Pd (0.500, 0.500, 0.743)

The 6 most intense peaks (5 to 70 degrees two-theta), in order of falling intensity:
2θ 34.0, intensity 1000; 2θ 39.5, intensity 909; 2θ 19.4, intensity 654; 2θ 57.1, intensity 603; 2θ 68.1, intensity 378; 2θ 44.4, intensity 292

5.
Computed X-ray powder pattern of Tb5YPb4 for Cu Kα, from a crystal structure in Alexandria, relaxed with PBE.
Intensities are scaled so that the largest is 1000.

Crystal structure
a b c (Å): 9.603 9.603 6.572
angles (deg): 90.47 90.47 30.12
Atoms (fractional coordinates):
Tb (0.000, 0.000, 0.000)
Tb (0.188, 0.188, 0.256)
Tb (0.394, 0.394, 0.245)
Tb (0.606, 0.606, 0.755)
Tb (0.812, 0.812, 0.744)
Y (0.000, 0.000, 0.500)
Pb (0.199, 0.199, 0.755)
Pb (0.425, 0.425, 0.747)
Pb (0.575, 0.575, 0.253)
Pb (0.801, 0.801, 0.245)

The 6 most intense peaks (5 to 70 degrees two-theta), in order of falling intensity:
2θ 30.0, intensity 1000; 2θ 36.0, intensity 517; 2θ 27.1, intensity 383; 2θ 33.0, intensity 290; 2θ 41.0, intensity 221; 2θ 40.8, intensity 203

6.
Computed X-ray powder pattern of CaNpAl4 for Cu Kα, from a crystal structure in Alexandria, relaxed with PBE.
Intensities are scaled so that the largest is 1000.

Crystal structure
a b c (Å): 5.586 5.586 5.586
angles (deg): 60.00 60.00 60.00
Atoms (fractional coordinates):
Ca (0.000, 0.000, 0.000)
Np (0.250, 0.250, 0.250)
Al (0.128, 0.624, 0.624)
Al (0.624, 0.128, 0.624)
Al (0.624, 0.624, 0.128)
Al (0.624, 0.624, 0.624)

The 6 most intense peaks (5 to 70 degrees two-theta), in order of falling intensity:
2θ 37.8, intensity 1000; 2θ 19.5, intensity 793; 2θ 32.0, intensity 733; 2θ 22.5, intensity 400; 2θ 60.9, intensity 335; 2θ 57.1, intensity 287

7.
Computed X-ray powder pattern of Pm2TaTc2N6 for Cu Kα, from a crystal structure in Alexandria, relaxed with PBE.
Intensities are scaled so that the largest is 1000.

Crystal structure
a b c (Å): 6.456 6.456 6.456
angles (deg): 55.09 55.09 55.09
Atoms (fractional coordinates):
Pm (0.200, 0.200, 0.200)
Pm (0.800, 0.800, 0.800)
Ta (0.000, 0.000, 0.000)
Tc (0.432, 0.432, 0.432)
Tc (0.568, 0.568, 0.568)
N (0.224, 0.765, 0.765)
N (0.235, 0.235, 0.776)
N (0.235, 0.776, 0.235)
N (0.765, 0.224, 0.765)
N (0.765, 0.765, 0.224)
N (0.776, 0.235, 0.235)

The 6 most intense peaks (5 to 70 degrees two-theta), in order of falling intensity:
2θ 29.9, intensity 1000; 2θ 32.4, intensity 630; 2θ 54.7, intensity 309; 2θ 44.7, intensity 263; 2θ 53.1, intensity 201; 2θ 62.2, intensity 157

8.
Computed X-ray powder pattern of Pa3Fe2Si2 for Cu Kα, from a crystal structure in Alexandria, relaxed with PBE.
Intensities are scaled so that the largest is 1000.

Crystal structure
a b c (Å): 5.380 7.689 12.187
angles (deg): 90.00 90.00 90.00
Atoms (fractional coordinates):
Pa (0.136, 0.240, 0.250)
Pa (0.136, 0.260, 0.750)
Pa (0.331, 0.600, 0.097)
Pa (0.331, 0.600, 0.403)
Pa (0.331, 0.900, 0.597)
Pa (0.331, 0.900, 0.903)
Pa (0.669, 0.100, 0.097)
Pa (0.669, 0.100, 0.403)
Pa (0.669, 0.400, 0.597)
Pa (0.669, 0.400, 0.903)
Pa (0.864, 0.740, 0.250)
Pa (0.864, 0.760, 0.750)
Fe (0.126, 0.541, 0.588)
Fe (0.126, 0.541, 0.912)
Fe (0.126, 0.959, 0.088)
Fe (0.126, 0.959, 0.412)
Fe (0.874, 0.041, 0.588)
Fe (0.874, 0.041, 0.912)
Fe (0.874, 0.459, 0.088)
Fe (0.874, 0.459, 0.412)
Si (0.162, 0.250, 0.000)
Si (0.162, 0.250, 0.500)
Si (0.362, 0.605, 0.750)
Si (0.362, 0.895, 0.250)
Si (0.638, 0.105, 0.750)
Si (0.638, 0.395, 0.250)
Si (0.838, 0.750, 0.000)
Si (0.838, 0.750, 0.500)

The 6 most intense peaks (5 to 70 degrees two-theta), in order of falling intensity:
2θ 38.9, intensity 1000; 2θ 35.8, intensity 834; 2θ 24.9, intensity 721; 2θ 42.0, intensity 687; 2θ 35.3, intensity 660; 2θ 58.2, intensity 637